Starting from a cell relaxed with GGA-PBE, the X-ray powder pattern of ErAl7Fe5 was calculated for CuKα.
Neutral-atom scattering factors, no anomalous dispersion.

Crystal structure
```
13
Lattice="-2.508 4.327 4.318 2.508 -4.327 4.318 2.508 4.327 -4.318" Properties=species:S:1:pos:R:3 pbc="T T T"
Er 0.000 0.000 0.000
Al 2.508 1.818 -0.002
Al 2.508 0.000 1.986
Al 0.000 0.000 2.973
Al 0.000 2.962 0.112
Al 0.000 0.000 5.750
Al 0.000 5.691 0.112
Al 0.000 2.509 4.316
Fe 1.239 2.169 -2.107
Fe 1.269 -2.157 2.211
Fe 1.239 6.484 -2.107
Fe 1.269 2.157 2.211
Fe 0.000 4.327 2.329
```

Top 12 peaks for 10 to 90 degrees two-theta, in order of rising 2θ:
2θ = 14.49°, d 6.113, intensity 49; 2θ = 20.47°, d 4.339, intensity 30; 2θ = 29.18°, d 3.060, intensity 88; 2θ = 32.76°, d 2.734, intensity 23; 2θ = 35.94°, d 2.498, intensity 34; 2θ = 41.63°, d 2.170, intensity 78; 2θ = 41.75°, d 2.163, intensity 100; 2θ = 41.84°, d 2.159, intensity 30; 2θ = 46.86°, d 1.939, intensity 18; 2θ = 49.31°, d 1.848, intensity 15; 2θ = 60.48°, d 1.531, intensity 32; 2θ = 68.40°, d 1.372, intensity 16